Entry 1:
For LaPrDy5Ho2, a GGA-PBE-relaxed structure gives the simulated powder diffraction line list in this record (CuKα).
Lines closer than 0.1° are merged.

Structural model:
abc: 9.9673 9.9673 9.9673
angles: 128.18 128.18 76.34
Atoms (fractional coordinates):
La 0.2500 0.2500 0.0000
La 0.7500 0.7500 0.0000
Pr 0.2500 0.7500 0.5000
Pr 0.7500 0.2500 0.5000
Dy 0.0000 0.0000 0.0000
Dy 0.0683 0.5683 0.9000
Dy 0.1683 0.0683 0.5000
Dy 0.3317 0.8317 0.9000
Dy 0.4317 0.3317 0.5000
Dy 0.5000 0.5000 0.0000
Dy 0.5683 0.6683 0.5000
Dy 0.6683 0.1683 0.1000
Dy 0.8317 0.9317 0.5000
Dy 0.9317 0.4317 0.1000
Ho 0.1184 0.3816 0.5000
Ho 0.3816 0.8816 0.2631
Ho 0.6184 0.1184 0.7369
Ho 0.8816 0.6184 0.5000

Most intense lines, 10 to 90 degrees two-theta, by angle:
two_theta, I_rel
28.58, 64
28.99, 45
30.69, 100
32.50, 19
36.80, 22
37.67, 20
43.17, 24
46.35, 28
52.46, 15
55.60, 18


Entry 2:
For LaPrDy4Ho2, a GGA-PBE-relaxed structure gives the simulated powder diffraction line list in this record (CuKα).
Lines closer than 0.1° are merged.

Structural model:
abc: 7.1922 7.1981 11.5792
angles: 89.98 89.97 60.05
Atoms (fractional coordinates):
La 0.0000 0.0000 0.0000
La 0.0000 0.5000 0.0000
Pr 0.0000 0.0000 0.5000
Pr 0.5000 0.0000 0.0000
Dy 0.1667 0.1678 0.7473
Dy 0.1670 0.6668 0.7475
Dy 0.3325 0.3329 0.2527
Dy 0.3331 0.8328 0.2525
Dy 0.6669 0.1672 0.7475
Dy 0.6675 0.6671 0.7473
Dy 0.8330 0.3332 0.2525
Dy 0.8333 0.8322 0.2527
Ho 0.0000 0.5000 0.5000
Ho 0.5000 0.0000 0.5000
Ho 0.5000 0.5000 0.0000
Ho 0.5000 0.5000 0.5000

Most intense lines, 10 to 90 degrees two-theta, by angle:
two_theta, I_rel
29.69, 46
30.89, 35
32.63, 100
37.08, 26
49.01, 12
50.74, 26
56.05, 22
60.59, 31
61.64, 16
86.25, 12


Entry 3:
For LaSm5Dy2Ho, a GGA-PBE-relaxed structure gives the simulated powder diffraction line list in this record (CuKα).
Lines closer than 0.1° are merged.

Structural model:
abc: 9.7545 9.7545 9.7545
angles: 123.33 123.33 84.32
Atoms (fractional coordinates):
La 0.2500 0.2500 0.0000
La 0.7500 0.7500 0.0000
Sm 0.0000 0.0000 0.0000
Sm 0.0726 0.5726 0.9054
Sm 0.1672 0.0726 0.5000
Sm 0.3328 0.8328 0.9054
Sm 0.4274 0.3328 0.5000
Sm 0.5000 0.5000 0.0000
Sm 0.5726 0.6672 0.5000
Sm 0.6672 0.1672 0.0946
Sm 0.8328 0.9274 0.5000
Sm 0.9274 0.4274 0.0946
Dy 0.1103 0.3897 0.5000
Dy 0.3897 0.8897 0.2793
Dy 0.6103 0.1103 0.7207
Dy 0.8897 0.6103 0.5000
Ho 0.2500 0.7500 0.5000
Ho 0.7500 0.2500 0.5000

Most intense lines, 10 to 90 degrees two-theta, by angle:
two_theta, I_rel
27.24, 55
28.41, 52
30.53, 16
31.39, 100
33.01, 14
35.50, 25
37.95, 18
40.66, 19
50.82, 17
58.31, 13


Entry 4:
For La2SmDy2Ho, a GGA-PBE-relaxed structure gives the simulated powder diffraction line list in this record (CuKα).
Lines closer than 0.1° are merged.

Structural model:
abc: 7.1148 5.7265 9.9013
angles: 90.00 90.00 90.00
Atoms (fractional coordinates):
La 0.0000 0.0000 0.0000
La 0.2500 0.5000 0.1776
La 0.5000 0.0000 0.0000
La 0.7500 0.5000 0.8224
Sm 0.2500 0.0000 0.6590
Sm 0.7500 0.0000 0.3410
Dy 0.2500 0.0000 0.3343
Dy 0.2500 0.5000 0.8337
Dy 0.7500 0.0000 0.6657
Dy 0.7500 0.5000 0.1663
Ho 0.0000 0.5000 0.5000
Ho 0.5000 0.5000 0.5000

Most intense lines, 10 to 90 degrees two-theta, by angle:
two_theta, I_rel
30.95, 91
31.27, 100
40.46, 11
44.57, 33
55.45, 35
55.65, 19
61.38, 29
65.23, 12
73.91, 10
79.13, 14